Entry 1:
For NaInBP2HO9, a structure optimized by DFT (GGA-PBE) gives the theoretical XRD peak list in this record (Cu Kα (weighted mean of Kα1 and Kα2)).
Neutral-atom scattering factors, no anomalous dispersion.

Most intense lines, 2θ from 5° to 70°, in order of rising 2θ:
2θ/deg	d/Å	Rel. int.
15.29	5.796	90.0
19.75	4.494	52.7
20.84	4.263	100.0
29.42	3.036	87.5
29.56	3.022	36.2
33.15	2.702	53.1

Cell and atoms:
a b c (Å): 5.258 17.068 9.239
angles (deg): 90.00 121.27 90.00
Atoms (fractional coordinates):
Na: 0.017 0.161 0.161
Na: 0.017 0.339 0.661
Na: 0.983 0.661 0.339
Na: 0.983 0.839 0.839
In: 0.484 0.656 0.806
In: 0.484 0.844 0.306
In: 0.516 0.156 0.694
In: 0.516 0.344 0.194
B: 0.341 0.529 0.251
B: 0.341 0.971 0.751
B: 0.659 0.029 0.249
B: 0.659 0.471 0.749
P: 0.232 0.670 0.082
P: 0.232 0.830 0.582
P: 0.256 0.088 0.927
P: 0.256 0.412 0.427
P: 0.744 0.588 0.573
P: 0.744 0.912 0.073
P: 0.768 0.170 0.418
P: 0.768 0.330 0.918
H: 0.454 0.503 0.079
H: 0.454 0.997 0.579
H: 0.546 0.003 0.421
H: 0.546 0.497 0.921
O: 0.025 0.633 0.624
O: 0.025 0.867 0.124
O: 0.059 0.200 0.573
O: 0.059 0.300 0.073
O: 0.147 0.592 0.141
O: 0.147 0.908 0.641
O: 0.171 0.012 0.813
O: 0.171 0.488 0.313
O: 0.355 0.725 0.235
O: 0.355 0.775 0.735
O: 0.370 0.061 0.114
O: 0.370 0.439 0.614
O: 0.410 0.027 0.652
O: 0.410 0.473 0.152
O: 0.474 0.651 0.038
O: 0.474 0.849 0.538
O: 0.500 0.133 0.921
O: 0.500 0.367 0.421
O: 0.500 0.633 0.579
O: 0.500 0.867 0.079
O: 0.526 0.151 0.462
O: 0.526 0.349 0.962
O: 0.590 0.527 0.848
O: 0.590 0.973 0.348
O: 0.630 0.561 0.386
O: 0.630 0.939 0.886
O: 0.645 0.225 0.265
O: 0.645 0.275 0.765
O: 0.829 0.512 0.687
O: 0.829 0.988 0.187
O: 0.853 0.092 0.359
O: 0.853 0.408 0.859
O: 0.941 0.700 0.927
O: 0.941 0.800 0.427
O: 0.975 0.133 0.876
O: 0.975 0.367 0.376



Entry 2:
For KB3H3, a structure optimized by DFT (GGA-PBE) gives the theoretical XRD peak list in this record (Cu Kα (weighted mean of Kα1 and Kα2)).
Neutral-atom scattering factors, no anomalous dispersion.

Most intense lines, 2θ from 5° to 70°, in order of rising 2θ:
2θ/deg	d/Å	Rel. int.
17.26	5.138	39.6
19.95	4.450	26.9
28.36	3.147	100.0
34.92	2.569	42.3
45.58	1.990	37.7
62.63	1.483	25.0

Cell and atoms:
a b c (Å): 6.293 6.293 6.293
angles (deg): 60.00 60.00 60.00
Atoms (fractional coordinates):
K: 0.250 0.250 0.250
K: 0.750 0.750 0.750
B: 0.137 0.137 0.863
B: 0.137 0.863 0.137
B: 0.137 0.863 0.863
B: 0.863 0.137 0.137
B: 0.863 0.137 0.863
B: 0.863 0.863 0.137
H: 0.273 0.273 0.727
H: 0.273 0.727 0.273
H: 0.273 0.727 0.727
H: 0.727 0.273 0.273
H: 0.727 0.273 0.727
H: 0.727 0.727 0.273



Entry 3:
For KLiB2H8, a structure optimized by DFT (GGA-PBE) gives the theoretical XRD peak list in this record (Cu Kα (weighted mean of Kα1 and Kα2)).
Neutral-atom scattering factors, no anomalous dispersion.

Most intense lines, 2θ from 5° to 70°, in order of rising 2θ:
2θ/deg	d/Å	Rel. int.
16.86	5.258	84.6
26.39	3.377	69.5
27.76	3.214	100.0
30.02	2.976	97.8
30.40	2.940	59.0
41.99	2.152	63.7

Cell and atoms:
a b c (Å): 7.897 4.405 14.093
angles (deg): 90.00 90.00 90.00
Atoms (fractional coordinates):
K: 0.160 0.250 0.129
K: 0.340 0.750 0.629
K: 0.660 0.250 0.371
K: 0.840 0.750 0.871
Li: 0.188 0.750 0.362
Li: 0.312 0.250 0.862
Li: 0.688 0.750 0.138
Li: 0.812 0.250 0.638
B: 0.071 0.250 0.738
B: 0.246 0.750 0.953
B: 0.254 0.250 0.453
B: 0.429 0.750 0.238
B: 0.571 0.250 0.762
B: 0.746 0.750 0.547
B: 0.754 0.250 0.047
B: 0.929 0.750 0.262
H: 0.010 0.020 0.702
H: 0.010 0.480 0.702
H: 0.045 0.250 0.824
H: 0.123 0.750 0.007
H: 0.166 0.026 0.470
H: 0.166 0.474 0.470
H: 0.197 0.750 0.871
H: 0.223 0.250 0.723
H: 0.277 0.750 0.223
H: 0.303 0.250 0.371
H: 0.334 0.526 0.970
H: 0.334 0.974 0.970
H: 0.377 0.250 0.507
H: 0.455 0.750 0.324
H: 0.490 0.520 0.202
H: 0.490 0.980 0.202
H: 0.510 0.020 0.798
H: 0.510 0.480 0.798
H: 0.545 0.250 0.676
H: 0.623 0.750 0.493
H: 0.666 0.026 0.030
H: 0.666 0.474 0.030
H: 0.697 0.750 0.629
H: 0.723 0.250 0.777
H: 0.777 0.750 0.277
H: 0.803 0.250 0.129
H: 0.834 0.526 0.530
H: 0.834 0.974 0.530
H: 0.877 0.250 0.993
H: 0.955 0.750 0.176
H: 0.990 0.520 0.298
H: 0.990 0.980 0.298